[1]
Computed X-ray diffraction stick pattern of TaS2 for λ = 1.5418 Å (Cu Kα), from a DFT-relaxed cell (GGA-PBE, Alexandria).
Peak positions follow from Bragg's law for the DFT cell and can differ from measured ones.

Atomic structure:
Lattice parameters (Å, degrees): 13.245 13.245 13.245 14.73 14.73 14.73
Element x y z (fractional)
1 Ta 0.082 0.082 0.082
2 Ta 0.918 0.918 0.918
3 S 0.213 0.213 0.213
4 S 0.376 0.376 0.376
5 S 0.624 0.624 0.624
6 S 0.787 0.787 0.787

Principal peaks in the range 2θ from 10° to 90°, by intensity:
two_theta  I_rel
13.52  100
34.42  43
30.47  25
42.90  19
55.93  16
53.99  15
39.69  14
50.19  11

[2]
Computed X-ray diffraction stick pattern of TbTa2S6 for λ = 1.5418 Å (Cu Kα), from a DFT-relaxed cell (GGA-PBE, Alexandria).
Peak positions follow from Bragg's law for the DFT cell and can differ from measured ones.

Atomic structure:
Lattice parameters (Å, degrees): 6.315 6.315 8.420 115.47 115.47 44.94
Element x y z (fractional)
1 Tb 0.000 0.000 0.000
2 Ta 0.190 0.190 0.579
3 Ta 0.810 0.810 0.421
4 S 0.020 0.020 0.690
5 S 0.308 0.308 0.401
6 S 0.350 0.350 0.887
7 S 0.650 0.650 0.113
8 S 0.692 0.692 0.599
9 S 0.980 0.980 0.310

Principal peaks in the range 2θ from 10° to 90°, by intensity:
two_theta  I_rel
20.31  100
25.14  89
29.49  89
15.68  79
45.44  78
11.88  67
37.25  64
28.24  58

[3]
Computed X-ray diffraction stick pattern of TbTa6S8 for λ = 1.5418 Å (Cu Kα), from a DFT-relaxed cell (GGA-PBE, Alexandria).
Peak positions follow from Bragg's law for the DFT cell and can differ from measured ones.

Atomic structure:
Lattice parameters (Å, degrees): 6.601 6.601 6.601 87.94 87.94 87.94
Element x y z (fractional)
1 Tb 0.000 0.000 0.000
2 Ta 0.202 0.555 0.409
3 Ta 0.409 0.202 0.555
4 Ta 0.445 0.591 0.798
5 Ta 0.555 0.409 0.202
6 Ta 0.591 0.798 0.445
7 Ta 0.798 0.445 0.591
8 S 0.132 0.389 0.758
9 S 0.230 0.230 0.230
10 S 0.242 0.868 0.611
11 S 0.389 0.758 0.132
12 S 0.611 0.242 0.868
13 S 0.758 0.132 0.389
14 S 0.770 0.770 0.770
15 S 0.868 0.611 0.242

Principal peaks in the range 2θ from 10° to 90°, by intensity:
two_theta  I_rel
13.43  100
33.49  73
30.75  58
45.79  57
41.73  50
42.93  40
39.73  35
22.53  31

[4]
Computed X-ray diffraction stick pattern of Ta2Te3S for λ = 1.5418 Å (Cu Kα), from a DFT-relaxed cell (GGA-PBE, Alexandria).
Peak positions follow from Bragg's law for the DFT cell and can differ from measured ones.

Atomic structure:
Lattice parameters (Å, degrees): 3.585 3.585 28.757 90.00 90.00 120.00
Element x y z (fractional)
1 Ta 0.000 0.000 0.000
2 Ta 0.000 0.000 0.484
3 Ta 0.667 0.333 0.241
4 Ta 0.667 0.333 0.742
5 Te 0.000 0.000 0.676
6 Te 0.000 0.000 0.807
7 Te 0.667 0.333 0.066
8 Te 0.667 0.333 0.418
9 Te 0.667 0.333 0.549
10 Te 0.667 0.333 0.935
11 S 0.000 0.000 0.189
12 S 0.000 0.000 0.293

Principal peaks in the range 2θ from 10° to 90°, by intensity:
two_theta  I_rel
34.41  100
12.31  68
42.86  41
28.75  39
50.94  31
62.93  18
85.11  15
74.80  12

[5]
Computed X-ray diffraction stick pattern of TaTiS6 for λ = 1.5418 Å (Cu Kα), from a DFT-relaxed cell (GGA-PBE, Alexandria).
Peak positions follow from Bragg's law for the DFT cell and can differ from measured ones.

Atomic structure:
Lattice parameters (Å, degrees): 5.959 6.100 6.107 70.97 60.98 60.95
Element x y z (fractional)
1 Ta 0.000 0.000 0.000
2 Ti 0.500 0.500 0.500
3 S 0.129 0.371 0.863
4 S 0.139 0.872 0.362
5 S 0.454 0.748 0.748
6 S 0.546 0.252 0.252
7 S 0.861 0.128 0.638
8 S 0.871 0.629 0.137

Principal peaks in the range 2θ from 10° to 90°, by intensity:
two_theta  I_rel
19.46  100
31.47  40
29.73  37
16.73  36
18.57  30
39.52  24
52.65  19
22.28  17

[6]
Computed X-ray diffraction stick pattern of TaTi3S6 for λ = 1.5418 Å (Cu Kα), from a DFT-relaxed cell (GGA-PBE, Alexandria).
Peak positions follow from Bragg's law for the DFT cell and can differ from measured ones.

Atomic structure:
Lattice parameters (Å, degrees): 7.212 7.212 7.212 88.28 88.28 88.28
Element x y z (fractional)
1 Ta 0.000 0.000 0.000
2 Ta 0.500 0.500 0.500
3 Ti 0.088 0.612 0.225
4 Ti 0.225 0.088 0.612
5 Ti 0.388 0.775 0.912
6 Ti 0.612 0.225 0.088
7 Ti 0.775 0.912 0.388
8 Ti 0.912 0.388 0.775
9 S 0.069 0.677 0.897
10 S 0.103 0.931 0.323
11 S 0.177 0.408 0.547
12 S 0.323 0.103 0.931
13 S 0.408 0.547 0.177
14 S 0.453 0.823 0.592
15 S 0.547 0.177 0.408
16 S 0.592 0.453 0.823
17 S 0.677 0.897 0.069
18 S 0.823 0.592 0.453
19 S 0.897 0.069 0.677
20 S 0.931 0.323 0.103

Principal peaks in the range 2θ from 10° to 90°, by intensity:
two_theta  I_rel
17.15  100
39.19  81
30.54  64
39.91  62
24.71  56
17.66  48
47.92  36
47.09  32

What did the second record say?
Computed X-ray diffraction stick pattern of TbTa2S6 for λ = 1.5418 Å (Cu Kα), from a DFT-relaxed cell (GGA-PBE, Alexandria).
Peak positions follow from Bragg's law for the DFT cell and can differ from measured ones.

Atomic structure:
Lattice parameters (Å, degrees): 6.315 6.315 8.420 115.47 115.47 44.94
Element x y z (fractional)
1 Tb 0.000 0.000 0.000
2 Ta 0.190 0.190 0.579
3 Ta 0.810 0.810 0.421
4 S 0.020 0.020 0.690
5 S 0.308 0.308 0.401
6 S 0.350 0.350 0.887
7 S 0.650 0.650 0.113
8 S 0.692 0.692 0.599
9 S 0.980 0.980 0.310

Principal peaks in the range 2θ from 10° to 90°, by intensity:
two_theta  I_rel
20.31  100
25.14  89
29.49  89
15.68  79
45.44  78
11.88  67
37.25  64
28.24  58

Repeat the third record exactly.
Computed X-ray diffraction stick pattern of TbTa6S8 for λ = 1.5418 Å (Cu Kα), from a DFT-relaxed cell (GGA-PBE, Alexandria).
Peak positions follow from Bragg's law for the DFT cell and can differ from measured ones.

Atomic structure:
Lattice parameters (Å, degrees): 6.601 6.601 6.601 87.94 87.94 87.94
Element x y z (fractional)
1 Tb 0.000 0.000 0.000
2 Ta 0.202 0.555 0.409
3 Ta 0.409 0.202 0.555
4 Ta 0.445 0.591 0.798
5 Ta 0.555 0.409 0.202
6 Ta 0.591 0.798 0.445
7 Ta 0.798 0.445 0.591
8 S 0.132 0.389 0.758
9 S 0.230 0.230 0.230
10 S 0.242 0.868 0.611
11 S 0.389 0.758 0.132
12 S 0.611 0.242 0.868
13 S 0.758 0.132 0.389
14 S 0.770 0.770 0.770
15 S 0.868 0.611 0.242

Principal peaks in the range 2θ from 10° to 90°, by intensity:
two_theta  I_rel
13.43  100
33.49  73
30.75  58
45.79  57
41.73  50
42.93  40
39.73  35
22.53  31